# 1
Calculated powder X-ray diffraction pattern of Ga2IrRh for Cu Kα X-rays, from a structure optimized by DFT (GGA-PBE).
Intensities are scaled so that the largest is 100.

Crystal structure
Cell: 4.316 4.316 4.316 Å, 60.00 60.00 60.00°
Fractional positions:
Ga 0.250 0.250 0.250
Ga 0.750 0.750 0.750
Ir 0.000 0.000 0.000
Rh 0.500 0.500 0.500

The 8 most intense peaks (5 to 70 degrees two-theta), most intense first:
2.158 Å, I 100
1.526 Å, I 17
3.052 Å, I 15
3.524 Å, I 9
1.365 Å, I 5
1.840 Å, I 5
1.762 Å, I 4
1.400 Å, I 2

---

# 2
Calculated powder X-ray diffraction pattern of CeSe2 for Cu Kα X-rays, from a structure optimized by DFT (GGA-PBE).
Intensities are scaled so that the largest is 100.

Crystal structure
Cell: 9.120 9.120 11.179 Å, 107.39 107.39 97.87°
Fractional positions:
Ce 0.102 0.102 0.362
Ce 0.112 0.472 0.781
Ce 0.528 0.888 0.219
Ce 0.898 0.898 0.638
Se 0.099 0.901 0.500
Se 0.179 0.397 0.551
Se 0.311 0.064 0.230
Se 0.383 0.617 0.000
Se 0.603 0.821 0.449
Se 0.794 0.041 0.197
Se 0.936 0.689 0.770
Se 0.959 0.206 0.803

The 10 most intense peaks (5 to 70 degrees two-theta), most intense first:
8.007 Å, I 100
8.430 Å, I 68
5.528 Å, I 61
4.004 Å, I 32
6.876 Å, I 32
3.653 Å, I 27
5.178 Å, I 24
5.966 Å, I 21
2.203 Å, I 21
2.108 Å, I 19

---

# 3
Calculated powder X-ray diffraction pattern of Ba2MgTi2S6 for Cu Kα X-rays, from a structure optimized by DFT (GGA-PBE).
Intensities are scaled so that the largest is 100.

Crystal structure
Cell: 7.053 7.053 7.288 Å, 90.00 90.00 120.00°
Fractional positions:
Ba 0.000 0.000 0.000
Ba 0.333 0.667 0.500
Mg 0.667 0.333 0.500
Ti 0.667 0.333 0.164
Ti 0.667 0.333 0.836
S 0.303 0.151 0.500
S 0.502 0.003 0.000
S 0.502 0.498 0.000
S 0.849 0.151 0.500
S 0.849 0.697 0.500
S 0.997 0.498 0.000

The 10 most intense peaks (5 to 70 degrees two-theta), most intense first:
2.817 Å, I 100
4.681 Å, I 60
3.527 Å, I 58
3.644 Å, I 42
1.901 Å, I 32
1.763 Å, I 24
2.341 Å, I 22
2.201 Å, I 21
1.587 Å, I 19
2.534 Å, I 15

---

# 4
Calculated powder X-ray diffraction pattern of YSi2Ru3 for Cu Kα X-rays, from a structure optimized by DFT (GGA-PBE).
Intensities are scaled so that the largest is 100.

Crystal structure
Cell: 5.574 5.574 3.636 Å, 90.00 90.00 120.00°
Fractional positions:
Y 0.000 0.000 0.000
Si 0.333 0.667 0.000
Si 0.667 0.333 0.000
Ru 0.000 0.500 0.500
Ru 0.500 0.000 0.500
Ru 0.500 0.500 0.500

The 10 most intense peaks (5 to 70 degrees two-theta), most intense first:
2.414 Å, I 100
2.212 Å, I 70
2.904 Å, I 66
2.011 Å, I 51
1.452 Å, I 39
1.393 Å, I 26
1.631 Å, I 23
1.818 Å, I 21
3.636 Å, I 19
1.471 Å, I 19

---

# 5
Calculated powder X-ray diffraction pattern of Mg6NbSiO8 for Cu Kα X-rays, from a structure optimized by DFT (GGA-PBE).
Intensities are scaled so that the largest is 100.

Crystal structure
Cell: 4.339 4.339 8.796 Å, 90.00 90.00 90.00°
Fractional positions:
Mg 0.000 0.000 0.000
Mg 0.000 0.500 0.243
Mg 0.000 0.500 0.757
Mg 0.500 0.000 0.243
Mg 0.500 0.000 0.757
Mg 0.500 0.500 0.000
Nb 0.000 0.000 0.500
Si 0.500 0.500 0.500
O 0.000 0.000 0.236
O 0.000 0.000 0.764
O 0.000 0.500 0.000
O 0.000 0.500 0.500
O 0.500 0.000 0.000
O 0.500 0.000 0.500
O 0.500 0.500 0.238
O 0.500 0.500 0.762

The 10 most intense peaks (5 to 70 degrees two-theta), most intense first:
2.170 Å, I 100
1.544 Å, I 58
2.199 Å, I 51
2.516 Å, I 41
8.796 Å, I 38
1.534 Å, I 29
3.892 Å, I 26
4.339 Å, I 17
3.089 Å, I 15
2.897 Å, I 15

---

# 6
Calculated powder X-ray diffraction pattern of InH9N3Cl3 for Cu Kα X-rays, from a structure optimized by DFT (GGA-PBE).
Intensities are scaled so that the largest is 100.

Crystal structure
Cell: 5.998 6.952 10.006 Å, 86.24 86.70 85.40°
Fractional positions:
In 0.000 0.000 0.000
In 0.500 0.500 0.500
H 0.086 0.031 0.721
H 0.095 0.350 0.453
H 0.096 0.622 0.108
H 0.262 0.324 0.316
H 0.272 0.863 0.782
H 0.293 0.171 0.448
H 0.293 0.754 0.154
H 0.309 0.674 0.001
H 0.311 0.097 0.790
H 0.689 0.903 0.210
H 0.691 0.326 0.999
H 0.707 0.246 0.846
H 0.707 0.829 0.552
H 0.728 0.137 0.218
H 0.738 0.676 0.684
H 0.904 0.378 0.892
H 0.905 0.650 0.547
H 0.914 0.969 0.279
N 0.193 0.997 0.797
N 0.200 0.727 0.075
N 0.257 0.314 0.420
N 0.743 0.686 0.580
N 0.800 0.273 0.925
N 0.807 0.003 0.203
Cl 0.262 0.809 0.417
Cl 0.271 0.497 0.727
Cl 0.284 0.211 0.088
Cl 0.716 0.789 0.912
Cl 0.729 0.503 0.273
Cl 0.738 0.191 0.583

The 10 most intense peaks (5 to 70 degrees two-theta), most intense first:
4.996 Å, I 100
2.765 Å, I 78
5.853 Å, I 77
5.527 Å, I 71
2.841 Å, I 57
5.245 Å, I 53
4.702 Å, I 45
4.357 Å, I 38
3.282 Å, I 33
3.572 Å, I 31

---

# 7
Calculated powder X-ray diffraction pattern of NaTi2Al5O12 for Cu Kα X-rays, from a structure optimized by DFT (GGA-PBE).
Intensities are scaled so that the largest is 100.

Crystal structure
Cell: 9.162 15.545 2.941 Å, 90.00 90.00 90.00°
Fractional positions:
Na 0.000 0.000 0.000
Na 0.500 0.500 0.000
Ti 0.229 0.356 0.000
Ti 0.271 0.856 0.000
Ti 0.729 0.144 0.000
Ti 0.771 0.644 0.000
Al 0.000 0.500 0.500
Al 0.009 0.199 0.500
Al 0.192 0.646 0.000
Al 0.308 0.146 0.000
Al 0.491 0.699 0.500
Al 0.500 0.000 0.500
Al 0.509 0.301 0.500
Al 0.692 0.854 0.000
Al 0.808 0.354 0.000
Al 0.991 0.801 0.500
O 0.105 0.449 0.000
O 0.109 0.752 0.000
O 0.113 0.148 0.000
O 0.135 0.893 0.500
O 0.136 0.593 0.500
O 0.137 0.295 0.500
O 0.363 0.795 0.500
O 0.364 0.093 0.500
O 0.365 0.393 0.500
O 0.387 0.648 0.000
O 0.391 0.252 0.000
O 0.395 0.949 0.000
O 0.605 0.051 0.000
O 0.609 0.748 0.000
O 0.613 0.352 0.000
O 0.635 0.607 0.500
O 0.636 0.907 0.500
O 0.637 0.205 0.500
O 0.863 0.705 0.500
O 0.864 0.407 0.500
O 0.865 0.107 0.500
O 0.887 0.852 0.000
O 0.891 0.248 0.000
O 0.895 0.551 0.000

The 10 most intense peaks (5 to 70 degrees two-theta), most intense first:
2.964 Å, I 100
2.233 Å, I 52
7.773 Å, I 45
1.471 Å, I 39
2.475 Å, I 38
5.927 Å, I 35
1.490 Å, I 34
1.374 Å, I 29
2.631 Å, I 26
1.533 Å, I 25

---

# 8
Calculated powder X-ray diffraction pattern of LuSi2Pt2 for Cu Kα X-rays, from a structure optimized by DFT (GGA-PBE).
Intensities are scaled so that the largest is 100.

Crystal structure
Cell: 5.934 5.934 5.934 Å, 139.29 139.29 58.94°
Fractional positions:
Lu 0.000 0.000 0.000
Si 0.250 0.750 0.500
Si 0.750 0.250 0.500
Pt 0.370 0.370 0.000
Pt 0.630 0.630 0.000

The 10 most intense peaks (5 to 70 degrees two-theta), most intense first:
2.645 Å, I 100
2.919 Å, I 74
1.627 Å, I 47
2.064 Å, I 42
1.848 Å, I 26
1.377 Å, I 20
2.541 Å, I 18
1.460 Å, I 14
1.934 Å, I 13
3.834 Å, I 9